Ac2Ge7Ru12: calculated powder diffraction line list (Cu Kα (weighted mean of Kα1 and Kα2)), based on DFT lattice parameters and positions (GGA-PBE).

Structure:
Cell lengths 9.9428, 9.9428, 4.0942 Å; angles 90.00, 90.00, 120.00 degrees
Fractional positions:
Ac (0.0000, 0.0000, 0.0000)
Ac (0.3333, 0.6667, 0.5000)
Ge (0.0586, 0.4478, 0.0000)
Ge (0.2740, 0.2320, 0.5000)
Ge (0.3892, 0.9414, 0.0000)
Ge (0.5522, 0.6108, 0.0000)
Ge (0.6667, 0.3333, 0.0000)
Ge (0.7680, 0.0420, 0.5000)
Ge (0.9580, 0.7260, 0.5000)
Ru (0.0470, 0.2888, 0.5000)
Ru (0.1017, 0.7186, 0.0000)
Ru (0.2418, 0.9530, 0.5000)
Ru (0.2814, 0.3832, 0.0000)
Ru (0.3921, 0.1883, 0.0000)
Ru (0.5621, 0.4340, 0.5000)
Ru (0.5660, 0.1281, 0.5000)
Ru (0.6168, 0.8983, 0.0000)
Ru (0.7112, 0.7582, 0.5000)
Ru (0.7962, 0.6079, 0.0000)
Ru (0.8117, 0.2038, 0.0000)
Ru (0.8719, 0.4379, 0.5000)

Main lines, in order of falling intensity (2θ = 15–90°):
| 2theta | I (rel.) |
| --- | --- |
| 35.2 | 100 |
| 44.2 | 25 |
| 43.9 | 22 |
| 48.4 | 16 |
| 51.4 | 15 |
| 37.7 | 12 |
| 67.7 | 12 |
| 31.2 | 12 |
| 42.0 | 11 |
| 75.5 | 11 |
| 38.3 | 10 |
| 36.1 | 9 |

---

K3Tl8: calculated powder diffraction line list (Cu Kα (weighted mean of Kα1 and Kα2)), based on DFT lattice parameters and positions (GGA-PBE).

Structure:
Cell lengths 6.7482, 6.7482, 12.7159 Å; angles 103.64, 103.64, 45.78 degrees
Fractional positions:
K (0.0000, 0.0000, 0.0000)
K (0.4990, 0.4990, 0.6566)
K (0.5010, 0.5010, 0.3434)
Tl (0.1696, 0.1696, 0.5399)
Tl (0.1810, 0.1810, 0.2882)
Tl (0.2348, 0.2348, 0.8073)
Tl (0.3294, 0.3294, 0.0696)
Tl (0.6706, 0.6706, 0.9304)
Tl (0.7652, 0.7652, 0.1927)
Tl (0.8190, 0.8190, 0.7118)
Tl (0.8304, 0.8304, 0.4601)

Main lines, in order of falling intensity (2θ = 15–90°):
| 2theta | I (rel.) |
| --- | --- |
| 32.9 | 100 |
| 27.5 | 74 |
| 36.3 | 52 |
| 34.2 | 49 |
| 29.4 | 32 |
| 37.4 | 24 |
| 28.8 | 23 |
| 57.1 | 21 |
| 40.2 | 20 |
| 45.6 | 19 |
| 30.4 | 18 |
| 60.4 | 18 |

---

LaNpP: calculated powder diffraction line list (Cu Kα (weighted mean of Kα1 and Kα2)), based on DFT lattice parameters and positions (GGA-PBE).

Structure:
Cell lengths 8.9504, 8.9504, 3.7347 Å; angles 90.00, 90.00, 90.00 degrees
Fractional positions:
La (0.0821, 0.6975, 0.0000)
La (0.3025, 0.0821, 0.5000)
La (0.6975, 0.9179, 0.5000)
La (0.9179, 0.3025, 0.0000)
Np (0.3777, 0.3956, 0.0000)
Np (0.3956, 0.6223, 0.5000)
Np (0.6044, 0.3777, 0.5000)
Np (0.6223, 0.6044, 0.0000)
P (0.1524, 0.4139, 0.5000)
P (0.4139, 0.8476, 0.0000)
P (0.5861, 0.1524, 0.0000)
P (0.8476, 0.5861, 0.5000)

Main lines, in order of falling intensity (2θ = 15–90°):
| 2theta | I (rel.) |
| --- | --- |
| 37.2 | 100 |
| 32.8 | 95 |
| 22.2 | 29 |
| 41.6 | 27 |
| 40.3 | 25 |
| 29.9 | 24 |
| 49.6 | 22 |
| 31.6 | 22 |
| 40.0 | 20 |
| 43.8 | 20 |
| 48.8 | 18 |
| 51.0 | 18 |